The following is a computed X-ray powder pattern of LiAg8Sn5. It was derived from DFT lattice parameters and positions (PBE), using Cu Ka.
Peak positions follow from Bragg's law for the DFT cell and can differ from measured ones.

Structure:
```
14
Lattice="-4.1809 4.1809 4.2170 4.1809 -4.1809 4.2170 4.1809 4.1809 -4.2170" Properties=species:S:1:pos:R:3 pbc="T T T"
Li 0.0000 0.0000 0.0000
Ag 2.8970 3.3776 -2.0780
Ag 1.2839 0.8034 2.1390
Ag -0.5468 2.7432 0.5665
Ag 4.9843 2.8970 2.0780
Ag 0.5468 5.6187 0.5665
Ag 1.4378 3.6341 3.6505
Ag -0.8034 1.2839 6.2951
Ag -1.4378 4.7278 3.6505
Sn 5.2590 2.3122 -0.8155
Sn 4.1809 0.0000 2.1085
Sn 2.3122 3.1029 0.8155
Sn -1.0781 1.8687 3.4015
Sn 1.8687 1.0781 5.0325
```

Main lines, by intensity (10 to 90 degrees two-theta):
- 2.645 Å, rel. 100
- 2.238 Å, rel. 80
- 2.247 Å, rel. 64
- 2.665 Å, rel. 41
- 1.359 Å, rel. 17
- 3.433 Å, rel. 16
- 1.709 Å, rel. 14
- 1.357 Å, rel. 13

---

The following is a computed X-ray powder pattern of HgOsN2. It was derived from DFT lattice parameters and positions (PBE), using Cu Ka.
Peak positions follow from Bragg's law for the DFT cell and can differ from measured ones.

Structure:
```
8
Lattice="0.0000 4.2444 4.2444 4.2444 0.0000 4.2444 4.2444 4.2444 0.0000" Properties=species:S:1:pos:R:3 pbc="T T T"
Hg 1.0611 1.0611 1.0611
Hg 7.4278 7.4278 7.4278
Os 3.1833 3.1833 3.1833
Os 5.3056 5.3056 5.3056
N 4.2444 2.1222 2.1222
N 2.1222 4.2444 2.1222
N 2.1222 2.1222 4.2444
N 4.2444 4.2444 4.2444
```

Main lines, by intensity (10 to 90 degrees two-theta):
- 3.001 Å, rel. 100
- 1.733 Å, rel. 41
- 1.134 Å, rel. 22
- 1.342 Å, rel. 18
- 2.122 Å, rel. 17
- 1.501 Å, rel. 14
- 1.225 Å, rel. 4
- 2.559 Å, rel. 1